# NdZn6Rh4
Computed powder diffraction line list, λ = 1.5418 Å (Cu Kα). Input: a GGA-PBE-relaxed structure.
No peak broadening, texture or thermal motion is included.

The 10 most intense peaks (10° ≤ 2θ ≤ 90°), in order of rising 2θ:
2θ 18.89, I 475
2θ 31.65, I 283
2θ 31.97, I 864
2θ 33.32, I 555
2θ 38.84, I 570
2θ 42.21, I 1000
2θ 42.46, I 971
2θ 43.17, I 755
2θ 55.70, I 283
2θ 65.86, I 389

Cell and atoms:
a = 6.6015 Å, b = 6.6015 Å, c = 6.6015 Å
α = 120.44°, β = 120.44°, γ = 89.24°
Fractional coordinates of all 11 atoms:
Nd: 0.0000 0.0000 0.0000
Zn: 0.0000 0.5000 0.5000
Zn: 0.1120 0.4891 0.0000
Zn: 0.4891 0.1120 0.0000
Zn: 0.5000 0.0000 0.5000
Zn: 0.5109 0.5109 0.6229
Zn: 0.8880 0.8880 0.3771
Rh: 0.2489 0.2489 0.6547
Rh: 0.4059 0.7511 0.0000
Rh: 0.5941 0.5941 0.3453
Rh: 0.7511 0.4059 0.0000

# Sm3Ga3Au2
Computed powder diffraction line list, λ = 1.5418 Å (Cu Kα). Input: a GGA-PBE-relaxed structure.
No peak broadening, texture or thermal motion is included.

The 10 most intense peaks (10° ≤ 2θ ≤ 90°), in order of rising 2θ:
2θ 16.40, I 170
2θ 32.15, I 879
2θ 32.40, I 502
2θ 34.09, I 216
2θ 35.87, I 235
2θ 36.66, I 479
2θ 37.83, I 253
2θ 40.09, I 1000
2θ 53.72, I 189
2θ 56.32, I 168

Cell and atoms:
a = 5.8537 Å, b = 5.8537 Å, c = 15.0224 Å
α = 90.00°, β = 90.00°, γ = 134.85°
Fractional coordinates of all 16 atoms:
Sm: 0.0953 0.9047 0.6087
Sm: 0.0953 0.9047 0.8913
Sm: 0.3668 0.6332 0.7500
Sm: 0.6332 0.3668 0.2500
Sm: 0.9047 0.0953 0.1087
Sm: 0.9047 0.0953 0.3913
Ga: 0.3479 0.6521 0.2500
Ga: 0.3901 0.6099 0.5367
Ga: 0.3901 0.6099 0.9633
Ga: 0.6099 0.3901 0.0367
Ga: 0.6099 0.3901 0.4633
Ga: 0.6521 0.3479 0.7500
Au: 0.1985 0.8015 0.1037
Au: 0.1985 0.8015 0.3963
Au: 0.8015 0.1985 0.6037
Au: 0.8015 0.1985 0.8963

# Zn13Rh
Computed powder diffraction line list, λ = 1.5418 Å (Cu Kα). Input: a GGA-PBE-relaxed structure.
No peak broadening, texture or thermal motion is included.

The 10 most intense peaks (10° ≤ 2θ ≤ 90°), in order of rising 2θ:
2θ 40.82, I 514
2θ 41.03, I 222
2θ 41.97, I 1000
2θ 42.48, I 525
2θ 42.74, I 297
2θ 44.04, I 346
2θ 44.47, I 207
2θ 73.64, I 190
2θ 75.96, I 149
2θ 78.20, I 114

Cell and atoms:
a = 6.6066 Å, b = 6.6066 Å, c = 5.2461 Å
α = 99.46°, β = 99.46°, γ = 68.62°
Fractional coordinates of all 14 atoms:
Zn: 0.0000 0.0000 0.0000
Zn: 0.0026 0.6377 0.1985
Zn: 0.2228 0.2228 0.3663
Zn: 0.2290 0.6118 0.6730
Zn: 0.3623 0.9974 0.8015
Zn: 0.3872 0.3872 0.0683
Zn: 0.3882 0.7710 0.3270
Zn: 0.6118 0.2290 0.6730
Zn: 0.6128 0.6128 0.9317
Zn: 0.6377 0.0026 0.1985
Zn: 0.7710 0.3882 0.3270
Zn: 0.7772 0.7772 0.6337
Zn: 0.9974 0.3623 0.8015
Rh: 0.0000 0.0000 0.5000

# Rb2TbAuCl6
Computed powder diffraction line list, λ = 1.5418 Å (Cu Kα). Input: a GGA-PBE-relaxed structure.
No peak broadening, texture or thermal motion is included.

The 10 most intense peaks (10° ≤ 2θ ≤ 90°), in order of rising 2θ:
2θ 12.48, I 519
2θ 17.96, I 271
2θ 20.91, I 1000
2θ 22.91, I 936
2θ 24.38, I 442
2θ 35.27, I 217
2θ 36.38, I 414
2θ 40.89, I 202
2θ 42.02, I 208
2θ 42.62, I 352

Cell and atoms:
a = 6.7587 Å, b = 7.3047 Å, c = 15.0098 Å
α = 90.00°, β = 109.06°, γ = 90.00°
Fractional coordinates of all 20 atoms:
Rb: 0.2194 0.0266 0.2052
Rb: 0.2194 0.4734 0.7052
Rb: 0.7806 0.5266 0.2948
Rb: 0.7806 0.9734 0.7948
Tb: 0.0000 0.0000 0.5000
Tb: 0.0000 0.5000 0.0000
Au: 0.5000 0.0000 0.0000
Au: 0.5000 0.5000 0.5000
Cl: 0.1535 0.6772 0.8854
Cl: 0.1535 0.8228 0.3854
Cl: 0.1979 0.1756 0.9756
Cl: 0.1979 0.3244 0.4756
Cl: 0.3101 0.6046 0.1491
Cl: 0.3101 0.8954 0.6491
Cl: 0.6899 0.1046 0.3509
Cl: 0.6899 0.3954 0.8509
Cl: 0.8021 0.6756 0.5244
Cl: 0.8021 0.8244 0.0244
Cl: 0.8465 0.1772 0.6146
Cl: 0.8465 0.3228 0.1146

# SrAgTeBr
Computed powder diffraction line list, λ = 1.5418 Å (Cu Kα). Input: a GGA-PBE-relaxed structure.
No peak broadening, texture or thermal motion is included.

The 10 most intense peaks (10° ≤ 2θ ≤ 90°), in order of rising 2θ:
2θ 22.22, I 300
2θ 23.41, I 442
2θ 26.42, I 338
2θ 30.54, I 892
2θ 35.42, I 329
2θ 38.26, I 1000
2θ 42.74, I 394
2θ 49.72, I 221
2θ 64.42, I 200
2θ 69.16, I 169

Cell and atoms:
a = 14.2876 Å, b = 14.2876 Å, c = 14.2876 Å
α = 18.95°, β = 18.95°, γ = 18.95°
Fractional coordinates of all 8 atoms:
Sr: 0.0926 0.0926 0.0926
Sr: 0.9074 0.9074 0.9074
Ag: 0.3105 0.3105 0.3105
Ag: 0.6895 0.6895 0.6895
Te: 0.3797 0.3797 0.3797
Te: 0.6203 0.6203 0.6203
Br: 0.2053 0.2053 0.2053
Br: 0.7947 0.7947 0.7947

# Pr8CuOs3Br4
Computed powder diffraction line list, λ = 1.5418 Å (Cu Kα). Input: a GGA-PBE-relaxed structure.
No peak broadening, texture or thermal motion is included.

The 10 most intense peaks (10° ≤ 2θ ≤ 90°), in order of rising 2θ:
2θ 11.19, I 326
2θ 28.96, I 1000
2θ 36.36, I 163
2θ 39.32, I 317
2θ 43.44, I 364
2θ 49.21, I 109
2θ 53.06, I 182
2θ 60.02, I 90
2θ 70.90, I 151
2θ 76.95, I 87

Cell and atoms:
a = 9.2587 Å, b = 9.2587 Å, c = 9.2587 Å
α = 53.49°, β = 53.49°, γ = 53.49°
Fractional coordinates of all 16 atoms:
Pr: 0.2196 0.7387 0.7387
Pr: 0.2336 0.2336 0.2336
Pr: 0.2613 0.2613 0.7804
Pr: 0.2613 0.7804 0.2613
Pr: 0.7387 0.2196 0.7387
Pr: 0.7387 0.7387 0.2196
Pr: 0.7664 0.7664 0.7664
Pr: 0.7804 0.2613 0.2613
Cu: 0.5000 0.5000 0.5000
Os: 0.0000 0.0000 0.5000
Os: 0.0000 0.5000 0.0000
Os: 0.5000 0.0000 0.0000
Br: 0.0000 0.0000 0.0000
Br: 0.0000 0.5000 0.5000
Br: 0.5000 0.0000 0.5000
Br: 0.5000 0.5000 0.0000

Copy entry 2 word for word.
# Sm3Ga3Au2
Computed powder diffraction line list, λ = 1.5418 Å (Cu Kα). Input: a GGA-PBE-relaxed structure.
No peak broadening, texture or thermal motion is included.

The 10 most intense peaks (10° ≤ 2θ ≤ 90°), in order of rising 2θ:
2θ 16.40, I 170
2θ 32.15, I 879
2θ 32.40, I 502
2θ 34.09, I 216
2θ 35.87, I 235
2θ 36.66, I 479
2θ 37.83, I 253
2θ 40.09, I 1000
2θ 53.72, I 189
2θ 56.32, I 168

Cell and atoms:
a = 5.8537 Å, b = 5.8537 Å, c = 15.0224 Å
α = 90.00°, β = 90.00°, γ = 134.85°
Fractional coordinates of all 16 atoms:
Sm: 0.0953 0.9047 0.6087
Sm: 0.0953 0.9047 0.8913
Sm: 0.3668 0.6332 0.7500
Sm: 0.6332 0.3668 0.2500
Sm: 0.9047 0.0953 0.1087
Sm: 0.9047 0.0953 0.3913
Ga: 0.3479 0.6521 0.2500
Ga: 0.3901 0.6099 0.5367
Ga: 0.3901 0.6099 0.9633
Ga: 0.6099 0.3901 0.0367
Ga: 0.6099 0.3901 0.4633
Ga: 0.6521 0.3479 0.7500
Au: 0.1985 0.8015 0.1037
Au: 0.1985 0.8015 0.3963
Au: 0.8015 0.1985 0.6037
Au: 0.8015 0.1985 0.8963